This entry pairs a crystal structure of Ac4Ru2Pb with its theoretical X-ray powder pattern. Radiation: Cu Kα. Structure: DFT lattice parameters and positions (PBE).
Peak positions follow from Bragg's law for the DFT cell and can differ from measured ones.

Atomic structure:
```
Ac4Ru2Pb
1.0
0.0000 7.0666 7.0846
4.9384 0.0000 7.0846
4.9384 7.0666 0.0000
Ac Ru Pb
8 4 2
Cartesian
4.0503 4.8168 2.2601
4.0503 2.2498 4.8245
6.5214 5.7788 5.8067
0.8881 2.2498 2.2601
6.5214 8.3543 8.3625
0.8881 4.8168 4.8245
3.3554 5.7788 8.3625
3.3554 8.3543 5.8067
3.7041 5.3002 5.3117
6.1727 8.8329 5.3117
6.1727 5.3002 8.8575
3.7041 8.8329 8.8575
0.0000 0.0000 0.0000
7.4076 10.5999 10.6269
```

Main lines, in order of rising 2θ (2θ from 15° to 90°):
| 2theta | I (rel.) |
| --- | --- |
| 17.73 | 42 |
| 25.17 | 48 |
| 25.34 | 56 |
| 28.24 | 65 |
| 28.54 | 93 |
| 33.54 | 100 |
| 33.64 | 26 |
| 35.90 | 36 |
| 42.61 | 32 |
| 44.76 | 38 |

---

This entry pairs a crystal structure of SiNiHg4 with its theoretical X-ray powder pattern. Radiation: Cu Kα. Structure: DFT lattice parameters and positions (PBE).
Peak positions follow from Bragg's law for the DFT cell and can differ from measured ones.

Atomic structure:
```
SiNiHg4
1.0
0.0000 4.0544 4.0544
4.0544 0.0000 4.0544
4.0544 4.0544 0.0000
Si Ni Hg
1 1 4
Cartesian
0.0000 0.0000 0.0000
2.0272 2.0272 2.0272
5.0660 3.0428 3.0428
3.0428 5.0660 3.0428
3.0428 3.0428 5.0660
5.0660 5.0660 5.0660
```

Main lines, in order of rising 2θ (2θ from 15° to 90°):
| 2theta | I (rel.) |
| --- | --- |
| 18.96 | 85 |
| 36.76 | 100 |
| 38.46 | 87 |
| 44.70 | 34 |
| 48.96 | 23 |
| 59.21 | 34 |
| 65.07 | 35 |
| 68.45 | 18 |
| 77.13 | 12 |
| 78.19 | 35 |

---

This entry pairs a crystal structure of Ho2InCl with its theoretical X-ray powder pattern. Radiation: Cu Kα. Structure: DFT lattice parameters and positions (PBE).
Peak positions follow from Bragg's law for the DFT cell and can differ from measured ones.

Atomic structure:
```
Ho2InCl
1.0
3.8009 0.0000 0.0000
-1.9004 3.2916 0.0000
0.0000 0.0000 23.7331
Ho In Cl
6 3 3
Cartesian
0.0000 0.0000 5.6404
0.0000 0.0000 18.0927
0.0000 2.1944 10.1817
0.0000 2.1944 21.4625
1.9004 1.0972 2.2706
1.9004 1.0972 13.5514
0.0000 0.0000 0.0000
0.0000 2.1944 15.8221
1.9004 1.0972 7.9110
0.0000 0.0000 11.8665
0.0000 2.1944 3.9555
1.9004 1.0972 19.7776
```

Main lines, in order of rising 2θ (2θ from 15° to 90°):
| 2theta | I (rel.) |
| --- | --- |
| 28.13 | 17 |
| 31.07 | 100 |
| 33.12 | 16 |
| 40.95 | 38 |
| 47.86 | 32 |
| 57.75 | 10 |
| 58.17 | 16 |
| 60.00 | 12 |
| 68.47 | 11 |
| 78.56 | 14 |

---

This entry pairs a crystal structure of ScSbTe4 with its theoretical X-ray powder pattern. Radiation: Cu Kα. Structure: DFT lattice parameters and positions (PBE).
Peak positions follow from Bragg's law for the DFT cell and can differ from measured ones.

Atomic structure:
```
ScSbTe4
1.0
14.6665 0.0000 0.0000
0.0000 4.0047 0.0000
-3.8224 0.0000 6.4923
Sc Sb Te
2 2 8
Cartesian
0.0000 0.0000 0.0000
7.3333 2.0023 0.0000
-1.9112 2.0023 3.2461
5.4221 0.0000 3.2461
0.8242 2.0023 1.9290
-1.0792 0.0000 5.3771
4.5901 2.0023 1.1151
2.6867 0.0000 4.5633
8.1575 0.0000 1.9290
6.2541 2.0023 5.3771
11.9233 0.0000 1.1151
10.0199 2.0023 4.5633
```

Main lines, in order of rising 2θ (2θ from 15° to 90°):
| 2theta | I (rel.) |
| --- | --- |
| 27.66 | 45 |
| 28.24 | 10 |
| 28.90 | 100 |
| 37.00 | 17 |
| 38.27 | 28 |
| 42.49 | 32 |
| 45.29 | 14 |
| 50.48 | 18 |
| 53.89 | 14 |
| 59.86 | 8 |

---

This entry pairs a crystal structure of Na4Pa3S8 with its theoretical X-ray powder pattern. Radiation: Cu Kα. Structure: DFT lattice parameters and positions (PBE).
Peak positions follow from Bragg's law for the DFT cell and can differ from measured ones.

Atomic structure:
```
Na4Pa3S8
1.0
4.0409 2.3330 7.1738
-4.0409 2.3330 7.1738
0.0000 -4.6660 7.1738
Na Pa S
4 3 8
Cartesian
0.0000 0.0000 0.0000
0.0000 0.0000 3.0241
0.0000 0.0000 10.7607
0.0000 0.0000 18.4972
-2.0204 -1.1665 7.1738
-2.0204 1.1665 14.3476
0.0000 2.3330 7.1738
0.0000 -2.2028 8.6854
-1.9077 1.1014 8.6854
0.0000 0.0000 5.7338
-1.9077 -1.1014 12.8360
1.9077 1.1014 8.6854
0.0000 0.0000 15.7876
1.9077 -1.1014 12.8360
0.0000 2.2028 12.8360
```

Main lines, in order of rising 2θ (2θ from 15° to 90°):
| 2theta | I (rel.) |
| --- | --- |
| 15.10 | 21 |
| 25.30 | 26 |
| 25.79 | 81 |
| 26.79 | 31 |
| 30.47 | 100 |
| 32.99 | 28 |
| 39.00 | 46 |
| 42.38 | 43 |
| 44.86 | 42 |
| 46.71 | 35 |

---

This entry pairs a crystal structure of Ca4ZnIn with its theoretical X-ray powder pattern. Radiation: Cu Kα. Structure: DFT lattice parameters and positions (PBE).
Peak positions follow from Bragg's law for the DFT cell and can differ from measured ones.

Atomic structure:
```
Ca4ZnIn
1.0
4.7395 -7.1741 0.0000
4.7395 7.1741 0.0000
-2.0447 0.0000 5.6487
Ca Zn In
8 2 2
Cartesian
1.7018 4.6481 5.2839
1.5309 1.0678 3.7039
4.7101 4.6481 3.1891
2.5533 -1.0678 0.8795
4.8810 1.0678 4.7692
2.7241 -4.6481 2.4596
5.9033 -1.0678 1.9449
5.7325 -4.6481 0.3648
3.2060 7.1663 4.2365
4.2283 -7.1663 1.4122
4.2283 1.8740 1.4122
3.2060 -1.8740 4.2365
```

Main lines, in order of rising 2θ (2θ from 15° to 90°):
| 2theta | I (rel.) |
| --- | --- |
| 16.65 | 48 |
| 19.96 | 76 |
| 21.08 | 39 |
| 29.48 | 100 |
| 32.04 | 97 |
| 32.79 | 59 |
| 35.29 | 63 |
| 35.57 | 59 |
| 40.47 | 34 |
| 53.46 | 33 |